Diffraction record for Fe2Ge. The powder X-ray diffraction pattern is theoretical, not measured: it uses a DFT-relaxed cell (GGA-PBE, the Materials Project) and CuKα.
No peak broadening, texture or thermal motion is included.

Most intense lines, 2θ from 15° to 90°, sorted by position:
- 42.59 deg, d = 2.123 Å, rel. 100
- 43.47 deg, d = 2.082 Å, rel. 97
- 62.48 deg, d = 1.486 Å, rel. 30
- 79.18 deg, d = 1.210 Å, rel. 30
- 79.79 deg, d = 1.202 Å, rel. 15
- 87.91 deg, d = 1.111 Å, rel. 23

Cell and atoms:
```
data_Fe2Ge
_chemical_formula_sum 'Fe2 Ge1'
_symmetry_space_group_name_H-M 'P 6/m m m'
_symmetry_Int_Tables_number 191
_symmetry_space_group_name_Hall '-P 6 2'
_cell_length_a 4.1636
_cell_length_b 4.1636
_cell_length_c 2.6265
_cell_angle_alpha 90.00
_cell_angle_beta 90.00
_cell_angle_gamma 120.00
loop_
_atom_site_label
_atom_site_type_symbol
_atom_site_fract_x
_atom_site_fract_y
_atom_site_fract_z
Fe1 Fe 0.3333 0.6667 0.0000
Ge1 Ge 0.0000 0.0000 0.5000
```



Diffraction record for KCaCl3. The powder X-ray diffraction pattern is theoretical, not measured: it uses a DFT-relaxed cell (GGA-PBE, the Materials Project) and CuKα.
No peak broadening, texture or thermal motion is included.

Most intense lines, 2θ from 15° to 90°, sorted by position:
- 23.86 deg, d = 3.729 Å, rel. 66
- 28.19 deg, d = 3.166 Å, rel. 57
- 28.33 deg, d = 3.150 Å, rel. 45
- 33.95 deg, d = 2.641 Å, rel. 100
- 34.05 deg, d = 2.633 Å, rel. 62
- 42.49 deg, d = 2.127 Å, rel. 68

Cell and atoms:
```
data_KCaCl3
_chemical_formula_sum 'K4 Ca4 Cl12'
_symmetry_space_group_name_H-M 'P n m a'
_symmetry_Int_Tables_number 62
_cell_length_a 7.6194
_cell_length_b 10.5321
_cell_length_c 7.3266
_cell_angle_alpha 90.00
_cell_angle_beta 90.00
_cell_angle_gamma 90.00
loop_
_symmetry_equiv_pos_as_xyz
'x,y,z'
'-x,-y,-z'
'-x+1/2,-y,z+1/2'
'x+1/2,y,-z+1/2'
'x+1/2,-y+1/2,-z+1/2'
'-x+1/2,y+1/2,z+1/2'
'-x,y+1/2,-z'
'x,-y+1/2,z'
loop_
_atom_site_label
_atom_site_type_symbol
_atom_site_fract_x
_atom_site_fract_y
_atom_site_fract_z
K1 K 0.0641 0.2500 0.0169
Ca1 Ca 0.0000 0.0000 0.5000
Cl1 Cl 0.0324 0.7500 0.4011
Cl2 Cl 0.1994 0.5507 0.8040
```



Diffraction record for K2InBr5O. The powder X-ray diffraction pattern is theoretical, not measured: it uses a DFT-relaxed cell (GGA-PBE, the Materials Project) and CuKα.
No peak broadening, texture or thermal motion is included.

Most intense lines, 2θ from 15° to 90°, sorted by position:
- 15.69 deg, d = 5.650 Å, rel. 56
- 17.06 deg, d = 5.196 Å, rel. 52
- 27.86 deg, d = 3.202 Å, rel. 100
- 28.21 deg, d = 3.163 Å, rel. 55
- 28.95 deg, d = 3.084 Å, rel. 54
- 33.29 deg, d = 2.691 Å, rel. 98

Cell and atoms:
```
data_K2InBr5O
_chemical_formula_sum 'K8 In4 Br20 O4'
_symmetry_space_group_name_H-M 'P n m a'
_symmetry_Int_Tables_number 62
_cell_length_a 13.2752
_cell_length_b 10.7639
_cell_length_c 8.3519
_cell_angle_alpha 90.00
_cell_angle_beta 90.00
_cell_angle_gamma 90.00
loop_
_symmetry_equiv_pos_as_xyz
'x,y,z'
'-x,-y,-z'
'-x+1/2,-y,z+1/2'
'x+1/2,y,-z+1/2'
'x+1/2,-y+1/2,-z+1/2'
'-x+1/2,y+1/2,z+1/2'
'-x,y+1/2,-z'
'x,-y+1/2,z'
loop_
_atom_site_label
_atom_site_type_symbol
_atom_site_fract_x
_atom_site_fract_y
_atom_site_fract_z
K1 K 0.1461 0.0130 0.1385
In1 In 0.1032 0.2500 0.7256
Br1 Br 0.0138 0.7500 0.0159
Br2 Br 0.0965 0.0027 0.7012
Br3 Br 0.1975 0.2500 0.3961
Br4 Br 0.2218 0.7500 0.3770
O1 O 0.0247 0.2500 0.5005
```



Diffraction record for LiTa3O8. The powder X-ray diffraction pattern is theoretical, not measured: it uses a DFT-relaxed cell (GGA-PBE, the Materials Project) and CuKα.
No peak broadening, texture or thermal motion is included.

Most intense lines, 2θ from 15° to 90°, sorted by position:
- 22.74 deg, d = 3.911 Å, rel. 100
- 22.97 deg, d = 3.872 Å, rel. 26
- 25.20 deg, d = 3.533 Å, rel. 59
- 27.82 deg, d = 3.206 Å, rel. 38
- 34.20 deg, d = 2.622 Å, rel. 35
- 36.23 deg, d = 2.480 Å, rel. 26

Cell and atoms:
```
data_LiTa3O8
_chemical_formula_sum 'Li4 Ta12 O32'
_symmetry_space_group_name_H-M 'P m m a'
_symmetry_Int_Tables_number 51
_cell_length_a 17.1620
_cell_length_b 3.9109
_cell_length_c 8.9858
_cell_angle_alpha 90.00
_cell_angle_beta 90.00
_cell_angle_gamma 90.00
loop_
_symmetry_equiv_pos_as_xyz
'x,y,z'
'-x,-y,-z'
'-x+1/2,-y,z'
'x+1/2,y,-z'
'x+1/2,-y,-z'
'-x+1/2,y,z'
'-x,y,-z'
'x,-y,z'
loop_
_atom_site_label
_atom_site_type_symbol
_atom_site_fract_x
_atom_site_fract_y
_atom_site_fract_z
Li1 Li 0.1136 0.0000 0.0656
Ta1 Ta 0.0593 0.5000 0.8080
Ta2 Ta 0.1325 0.5000 0.3970
Ta3 Ta 0.2500 0.5000 0.0541
Ta4 Ta 0.2500 0.5000 0.6879
O1 O 0.0000 0.5000 0.0000
O2 O 0.0229 0.5000 0.3305
O3 O 0.0667 0.0000 0.8426
O4 O 0.1309 0.5000 0.6207
O5 O 0.1321 0.0000 0.3935
O6 O 0.1582 0.5000 0.1789
O7 O 0.1764 0.5000 0.8775
O8 O 0.2500 0.0000 0.0600
O9 O 0.2500 0.0000 0.6931
O10 O 0.2500 0.5000 0.4540
```



Diffraction record for Y2Al9Ir3. The powder X-ray diffraction pattern is theoretical, not measured: it uses a DFT-relaxed cell (GGA-PBE, the Materials Project) and CuKα.
No peak broadening, texture or thermal motion is included.

Most intense lines, 2θ from 15° to 90°, sorted by position:
- 18.68 deg, d = 4.750 Å, rel. 42
- 23.51 deg, d = 3.784 Å, rel. 54
- 30.07 deg, d = 2.972 Å, rel. 51
- 30.20 deg, d = 2.960 Å, rel. 100
- 41.14 deg, d = 2.194 Å, rel. 59
- 45.04 deg, d = 2.013 Å, rel. 44

Cell and atoms:
```
data_Y2Al9Ir3
_chemical_formula_sum 'Y8 Al36 Ir12'
_symmetry_space_group_name_H-M 'C m c m'
_symmetry_Int_Tables_number 63
_symmetry_space_group_name_Hall '-C 2c 2'
_cell_length_a 13.0779
_cell_length_b 7.6183
_cell_length_c 9.5001
_cell_angle_alpha 90.00
_cell_angle_beta 90.00
_cell_angle_gamma 90.00
loop_
_atom_site_label
_atom_site_type_symbol
_atom_site_fract_x
_atom_site_fract_y
_atom_site_fract_z
Y1 Y 0.1627 0.1676 0.2500
Al1 Al 0.0000 0.1276 0.7500
Al2 Al 0.0000 0.3335 0.0528
Al3 Al 0.1042 0.4424 0.7500
Al4 Al 0.1667 0.1682 0.5737
Ir1 Ir 0.0000 0.0000 0.0000
Ir2 Ir 0.1717 0.5000 0.0000
```